[1]
Starting from a PBE-relaxed structure, the X-ray diffraction stick pattern of Er2O3 was calculated for Cu Ka.
Lines closer than 0.1° are merged.

Atomic structure:
```
data_Er2O3
_cell_length_a 3.6742
_cell_length_b 3.6742
_cell_length_c 19.2870
_cell_angle_alpha 90.00
_cell_angle_beta 90.00
_cell_angle_gamma 120.00
_symmetry_space_group_name_H-M 'R 3 m'
_symmetry_Int_Tables_number 160
_symmetry_space_group_name_Hall 'R 3 -2"'
loop_
_atom_site_label
_atom_site_type_symbol
_atom_site_fract_x
_atom_site_fract_y
_atom_site_fract_z
Er1 Er 0.0000 0.0000 0.0000
Er2 Er 0.0000 0.0000 0.4919
O1 O 0.0000 0.0000 0.1171
O2 O 0.0000 0.0000 0.3497
O3 O 0.0000 0.0000 0.8863
```

Principal peaks in the range 2θ = 15–90°, in order of rising 2θ:
hkl 0 0 6, d = 3.215 Å, 27.75°, I = 38
hkl 0 1 2, d = 3.022 Å, 29.56°, I = 100
hkl 1 0 4, d = 2.656 Å, 33.75°, I = 52
hkl 0 1 8, d = 1.922 Å, 47.30°, I = 32
hkl 1 1 0, d = 1.837 Å, 49.62°, I = 31
hkl 1 0 10, d = 1.649 Å, 55.73°, I = 16
hkl 1 1 6, d = 1.595 Å, 57.81°, I = 30
hkl 2 0 2, d = 1.570 Å, 58.83°, I = 14
hkl 1 1 12, d = 1.210 Å, 79.18°, I = 10
hkl 1 2 2, d = 1.193 Å, 80.48°, I = 12

[2]
Starting from a PBE-relaxed structure, the X-ray diffraction stick pattern of Li3Tc was calculated for Cu Ka.
Lines closer than 0.1° are merged.

Atomic structure:
```
data_Li3Tc
_cell_length_a 3.750
_cell_length_b 3.750
_cell_length_c 8.311
_cell_angle_alpha 90.00
_cell_angle_beta 90.00
_cell_angle_gamma 90.00
_symmetry_space_group_name_H-M 'I 4/m m m'
_symmetry_Int_Tables_number 139
_symmetry_space_group_name_Hall '-I 4 2'
loop_
_atom_site_label
_atom_site_type_symbol
_atom_site_fract_x
_atom_site_fract_y
_atom_site_fract_z
Li1 Li 0.000 0.000 0.000
Li2 Li 0.000 0.500 0.250
Tc1 Tc 0.000 0.000 0.500
```

Principal peaks in the range 2θ = 15–90°, in order of rising 2θ:
hkl 0 0 2, d = 4.156 Å, 21.38°, I = 41
hkl 1 0 1, d = 3.418 Å, 26.07°, I = 100
hkl 1 1 0, d = 2.652 Å, 33.80°, I = 25
hkl 1 1 2, d = 2.235 Å, 40.35°, I = 45
hkl 1 0 3, d = 2.228 Å, 40.48°, I = 30
hkl 2 0 0, d = 1.875 Å, 48.55°, I = 13
hkl 2 0 2, d = 1.709 Å, 53.62°, I = 13
hkl 2 1 1, d = 1.644 Å, 55.93°, I = 23
hkl 2 1 3, d = 1.435 Å, 65.00°, I = 14
hkl 3 1 2, d = 1.140 Å, 85.09°, I = 13

[3]
Starting from a PBE-relaxed structure, the X-ray diffraction stick pattern of Cs2InBiCl6 was calculated for Cu Ka.
Lines closer than 0.1° are merged.

Atomic structure:
```
data_Cs2InBiCl6
_cell_length_a 11.477
_cell_length_b 11.477
_cell_length_c 11.477
_cell_angle_alpha 90.00
_cell_angle_beta 90.00
_cell_angle_gamma 90.00
_symmetry_space_group_name_H-M 'F m -3 m'
_symmetry_Int_Tables_number 225
_symmetry_space_group_name_Hall '-F 4 2 3'
loop_
_atom_site_label
_atom_site_type_symbol
_atom_site_fract_x
_atom_site_fract_y
_atom_site_fract_z
Cs1 Cs 0.250 0.250 0.250
In1 In 0.000 0.000 0.000
Bi1 Bi 0.000 0.000 0.500
Cl1 Cl 0.000 0.000 0.262
```

Principal peaks in the range 2θ = 15–90°, in order of rising 2θ:
hkl 2 2 0, d = 4.058 Å, 21.91°, I = 100
hkl 4 0 0, d = 2.869 Å, 31.17°, I = 51
hkl 4 2 2, d = 2.343 Å, 38.43°, I = 48
hkl 4 4 0, d = 2.029 Å, 44.67°, I = 36
hkl 6 2 0, d = 1.815 Å, 50.28°, I = 23
hkl 4 4 4, d = 1.656 Å, 55.47°, I = 12
hkl 6 4 2, d = 1.534 Å, 60.35°, I = 27
hkl 6 6 0, d = 1.353 Å, 69.50°, I = 13
hkl 8 4 0, d = 1.283 Å, 73.86°, I = 16
hkl 10 2 0, d = 1.125 Å, 86.48°, I = 15